Record 1
La12Hg6Ir: theoretical XRD peak list (a wavelength of 1.5418 Å), based on a crystal structure in Alexandria, relaxed with GGA-PBE.
Kinematic intensities with the Lorentz-polarization factor, no thermal factor.

Top 8 peaks for 2θ = 15–90°, most intense first:
2θ = 30.2°, rel. 100
2θ = 34.5°, rel. 62
2θ = 32.2°, rel. 51
2θ = 27.1°, rel. 30
2θ = 39.2°, rel. 28
2θ = 55.5°, rel. 26
2θ = 65.4°, rel. 23
2θ = 15.2°, rel. 20

Structure:
```
La12Hg6Ir
1.0
6.3122 3.6443 4.6042
-6.3122 3.6443 4.6042
0.0000 -7.2887 4.6042
La Hg Ir
12 6 1
Direct
0.0302 0.6809 0.9173
0.0827 0.9698 0.3191
0.1958 0.5400 0.4259
0.3191 0.0827 0.9698
0.4259 0.1958 0.5400
0.4600 0.5741 0.8042
0.5400 0.4259 0.1958
0.5741 0.8042 0.4600
0.6809 0.9173 0.0302
0.8042 0.4600 0.5741
0.9173 0.0302 0.6809
0.9698 0.3191 0.0827
0.1456 0.3475 0.7366
0.2634 0.8544 0.6525
0.3475 0.7366 0.1456
0.6525 0.2634 0.8544
0.7366 0.1456 0.3475
0.8544 0.6525 0.2634
0.0000 0.0000 0.0000
```



Record 2
La2Hg2Ir: theoretical XRD peak list (a wavelength of 1.5418 Å), based on a crystal structure in Alexandria, relaxed with GGA-PBE.
Kinematic intensities with the Lorentz-polarization factor, no thermal factor.

Top 8 peaks for 2θ = 15–90°, most intense first:
2θ = 29.9°, rel. 100
2θ = 33.5°, rel. 60
2θ = 38.2°, rel. 52
2θ = 38.0°, rel. 45
2θ = 35.8°, rel. 40
2θ = 40.3°, rel. 21
2θ = 41.2°, rel. 20
2θ = 37.8°, rel. 18

Structure:
```
La2Hg2Ir
1.0
2.3694 -9.6430 0.0000
2.3694 9.6430 0.0000
0.0000 0.0000 5.9876
La Hg Ir
4 4 2
Direct
0.0947 0.9053 0.7500
0.3454 0.6546 0.7500
0.6546 0.3454 0.2500
0.9053 0.0947 0.2500
0.2759 0.7241 0.2500
0.5000 0.5000 0.0000
0.5000 0.5000 0.5000
0.7241 0.2759 0.7500
0.0634 0.9366 0.2500
0.9366 0.0634 0.7500
```



Record 3
La8Hg3Ir3N: theoretical XRD peak list (a wavelength of 1.5418 Å), based on a crystal structure in Alexandria, relaxed with GGA-PBE.
Kinematic intensities with the Lorentz-polarization factor, no thermal factor.

Top 8 peaks for 2θ = 15–90°, most intense first:
2θ = 29.2°, rel. 100
2θ = 43.9°, rel. 54
2θ = 29.1°, rel. 51
2θ = 39.4°, rel. 47
2θ = 31.3°, rel. 21
2θ = 53.6°, rel. 18
2θ = 36.5°, rel. 16
2θ = 71.7°, rel. 14

Structure:
```
La8Hg3Ir3N
1.0
7.1523 -4.1205 0.0000
7.1523 4.1205 0.0000
-4.7685 0.0000 7.9493
La Hg Ir N
8 3 3 1
Direct
0.2166 0.7539 0.6871
0.2179 0.2179 0.6882
0.2461 0.7834 0.3129
0.2656 0.2656 0.2969
0.7344 0.7344 0.7031
0.7539 0.2166 0.6871
0.7821 0.7821 0.3118
0.7834 0.2461 0.3129
0.0000 0.0000 0.0000
0.0000 0.5000 0.0000
0.5000 0.0000 0.0000
0.0000 0.5000 0.5000
0.5000 0.0000 0.5000
0.5000 0.5000 0.5000
0.0000 0.0000 0.5000
```



Record 4
La8Hg4IrRh3: theoretical XRD peak list (a wavelength of 1.5418 Å), based on a crystal structure in Alexandria, relaxed with GGA-PBE.
Kinematic intensities with the Lorentz-polarization factor, no thermal factor.

Top 8 peaks for 2θ = 15–90°, most intense first:
2θ = 28.9°, rel. 100
2θ = 43.4°, rel. 24
2θ = 39.1°, rel. 24
2θ = 53.1°, rel. 12
2θ = 43.5°, rel. 12
2θ = 38.9°, rel. 12
2θ = 70.8°, rel. 10
2θ = 45.3°, rel. 8

Structure:
```
La8Hg4IrRh3
1.0
7.2320 -4.1585 0.0000
7.2320 4.1585 0.0000
-4.8455 0.0000 8.0106
La Hg Ir Rh
8 4 1 3
Direct
0.2330 0.2330 0.7005
0.2332 0.7350 0.7006
0.2650 0.7668 0.2994
0.2663 0.2663 0.2995
0.7337 0.7337 0.7005
0.7350 0.2332 0.7006
0.7668 0.2650 0.2994
0.7670 0.7670 0.2995
0.0000 0.0000 0.0000
0.0000 0.5000 0.0000
0.5000 0.0000 0.0000
0.5000 0.5000 0.0000
0.0000 0.0000 0.5000
0.0000 0.5000 0.5000
0.5000 0.0000 0.5000
0.5000 0.5000 0.5000
```



Record 5
LaTiHg2Ir: theoretical XRD peak list (a wavelength of 1.5418 Å), based on a crystal structure in Alexandria, relaxed with GGA-PBE.
Kinematic intensities with the Lorentz-polarization factor, no thermal factor.

Top 8 peaks for 2θ = 15–90°, most intense first:
2θ = 28.0°, rel. 100
2θ = 30.4°, rel. 97
2θ = 15.1°, rel. 65
2θ = 47.9°, rel. 56
2θ = 43.6°, rel. 37
2θ = 52.6°, rel. 36
2θ = 57.8°, rel. 32
2θ = 36.1°, rel. 31

Structure:
```
LaTiHg2Ir
1.0
5.8753 0.0000 0.0000
0.0000 5.8753 0.0000
0.0000 0.0000 4.9737
La Ti Hg Ir
1 1 2 1
Direct
0.0000 0.0000 0.0000
0.5000 0.5000 0.5000
0.0000 0.5000 0.0000
0.5000 0.0000 0.0000
0.0000 0.0000 0.5000
```



Record 6
Li2Hg2Ir: theoretical XRD peak list (a wavelength of 1.5418 Å), based on a crystal structure in Alexandria, relaxed with GGA-PBE.
Kinematic intensities with the Lorentz-polarization factor, no thermal factor.

Top 8 peaks for 2θ = 15–90°, most intense first:
2θ = 27.5°, rel. 100
2θ = 27.3°, rel. 95
2θ = 39.1°, rel. 89
2θ = 48.5°, rel. 82
2θ = 39.2°, rel. 78
2θ = 70.8°, rel. 28
2θ = 76.4°, rel. 21
2θ = 45.0°, rel. 21

Structure:
```
Li2Hg2Ir
1.0
7.2600 0.0000 0.0000
0.0000 7.2600 0.0000
0.0000 0.0000 3.2642
Li Hg Ir
4 4 2
Direct
0.1614 0.3386 0.0000
0.3386 0.8386 0.0000
0.6614 0.1614 0.0000
0.8386 0.6614 0.0000
0.1451 0.6451 0.5000
0.3549 0.1451 0.5000
0.6451 0.8549 0.5000
0.8549 0.3549 0.5000
0.0000 0.0000 0.5000
0.5000 0.5000 0.5000
```



Record 7
MgHg2Ir: theoretical XRD peak list (a wavelength of 1.5418 Å), based on a crystal structure in Alexandria, relaxed with GGA-PBE.
Kinematic intensities with the Lorentz-polarization factor, no thermal factor.

Top 8 peaks for 2θ = 15–90°, most intense first:
2θ = 36.4°, rel. 100
2θ = 37.5°, rel. 89
2θ = 41.6°, rel. 34
2θ = 41.9°, rel. 33
2θ = 45.3°, rel. 27
2θ = 26.8°, rel. 25
2θ = 63.2°, rel. 20
2θ = 63.4°, rel. 20

Structure:
```
MgHg2Ir
1.0
3.1363 0.0000 0.0000
0.0000 4.0029 0.0000
-0.0369 0.0000 5.9807
Mg Hg Ir
1 2 1
Direct
0.0000 0.0000 0.0000
0.0037 0.0000 0.4527
0.5031 0.5000 0.7289
0.5017 0.5000 0.2024
```



Record 8
YMgHgIr: theoretical XRD peak list (a wavelength of 1.5418 Å), based on a crystal structure in Alexandria, relaxed with GGA-PBE.
Kinematic intensities with the Lorentz-polarization factor, no thermal factor.

Top 8 peaks for 2θ = 15–90°, most intense first:
2θ = 36.9°, rel. 100
2θ = 66.5°, rel. 36
2θ = 25.9°, rel. 36
2θ = 53.2°, rel. 18
2θ = 60.1°, rel. 15
2θ = 78.6°, rel. 11
2θ = 45.6°, rel. 11
2θ = 84.4°, rel. 8

Structure:
```
YMgHgIr
1.0
0.0000 3.4427 3.4427
3.4427 0.0000 3.4427
3.4427 3.4427 0.0000
Y Mg Hg Ir
1 1 1 1
Direct
0.0000 0.0000 0.0000
0.5000 0.5000 0.5000
0.7500 0.7500 0.7500
0.2500 0.2500 0.2500
```



Record 9
MnHgIr: theoretical XRD peak list (a wavelength of 1.5418 Å), based on a crystal structure in Alexandria, relaxed with GGA-PBE.
Kinematic intensities with the Lorentz-polarization factor, no thermal factor.

Top 8 peaks for 2θ = 15–90°, most intense first:
2θ = 38.7°, rel. 100
2θ = 43.0°, rel. 39
2θ = 76.0°, rel. 28
2θ = 31.1°, rel. 24
2θ = 67.0°, rel. 17
2θ = 62.5°, rel. 13
2θ = 31.9°, rel. 11
2θ = 48.7°, rel. 11

Structure:
```
MnHgIr
1.0
-1.4866 1.4866 5.6115
1.4866 -1.4866 5.6115
1.4866 1.4866 -5.6115
Mn Hg Ir
1 1 1
Direct
0.0000 0.0000 0.0000
0.3184 0.3184 0.0000
0.6327 0.6327 0.0000
```



Record 10
MnNb2HgIr: theoretical XRD peak list (a wavelength of 1.5418 Å), based on a crystal structure in Alexandria, relaxed with GGA-PBE.
Kinematic intensities with the Lorentz-polarization factor, no thermal factor.

Top 8 peaks for 2θ = 15–90°, most intense first:
2θ = 17.8°, rel. 100
2θ = 36.1°, rel. 66
2θ = 52.6°, rel. 45
2θ = 36.9°, rel. 31
2θ = 31.4°, rel. 27
2θ = 40.6°, rel. 27
2θ = 25.3°, rel. 26
2θ = 41.3°, rel. 25

Structure:
```
MnNb2HgIr
1.0
4.9736 0.0000 0.0000
0.0000 4.9736 0.0000
0.0000 0.0000 4.8732
Mn Nb Hg Ir
1 2 1 1
Direct
0.0000 0.0000 0.0000
0.0000 0.5000 0.5000
0.5000 0.0000 0.5000
0.5000 0.5000 0.5000
0.5000 0.5000 0.0000
```



Record 11
HgMoIr2: theoretical XRD peak list (a wavelength of 1.5418 Å), based on a crystal structure in Alexandria, relaxed with GGA-PBE.
Kinematic intensities with the Lorentz-polarization factor, no thermal factor.

Top 8 peaks for 2θ = 15–90°, most intense first:
2θ = 39.0°, rel. 100
2θ = 38.4°, rel. 99
2θ = 45.1°, rel. 63
2θ = 65.4°, rel. 42
2θ = 78.2°, rel. 35
2θ = 44.7°, rel. 34
2θ = 79.5°, rel. 25
2θ = 78.6°, rel. 13

Structure:
```
HgMoIr2
1.0
2.8106 0.0000 0.0000
0.0000 4.0511 0.0000
0.0000 0.0000 5.7572
Hg Mo Ir
1 1 2
Direct
0.0000 0.0000 0.0000
0.5000 0.5000 0.7034
0.0000 0.0000 0.5093
0.5000 0.5000 0.2587
```



Record 12
HgMoIr2: theoretical XRD peak list (a wavelength of 1.5418 Å), based on a crystal structure in Alexandria, relaxed with GGA-PBE.
Kinematic intensities with the Lorentz-polarization factor, no thermal factor.

Top 8 peaks for 2θ = 15–90°, most intense first:
2θ = 38.7°, rel. 100
2θ = 44.9°, rel. 62
2θ = 38.5°, rel. 28
2θ = 65.6°, rel. 22
2θ = 78.7°, rel. 22
2θ = 65.3°, rel. 16
2θ = 78.8°, rel. 13
2θ = 28.7°, rel. 11

Structure:
```
HgMoIr2
1.0
1.4238 0.8221 9.3449
-1.4238 0.8221 9.3449
0.0000 -1.6441 9.3449
Hg Mo Ir
1 1 2
Direct
0.0000 0.0000 0.0000
0.5000 0.5000 0.5000
0.2422 0.2422 0.2422
0.7578 0.7578 0.7578
```